Record 1
InRePb: computed powder XRD pattern (λ = 1.5418 Å (Cu Kα)), based on the PBE geometry in Alexandria.
No peak broadening, texture or thermal motion is included.

Structure:
a b c (Å): 3.2312 3.2312 13.1997
angles (deg): 90.00 90.00 90.00
Space group I4mm (No. 107)
Inequivalent atoms, fractional coordinates:
In1 0.0000 0.0000 0.0000 (multiplicity 2)
Re1 0.0000 0.0000 0.3764 (multiplicity 2)
Pb1 0.0000 0.0000 0.7311 (multiplicity 2)

Main lines, in order of falling intensity (10 to 80 degrees two-theta):
2θ/deg	Rel. int.	h k l
34.44	100	1 0 3
39.44	43	1 1 0
68.32	28	2 1 3
13.42	28	0 0 2
44.31	26	1 0 5
57.00	15	2 0 0
70.39	12	1 1 8
58.22	11	1 1 6

Record 2
MnCd4Te5: computed powder XRD pattern (λ = 1.5418 Å (Cu Kα)), based on the PBE geometry in Alexandria.
No peak broadening, texture or thermal motion is included.

Structure:
a b c (Å): 10.3526 10.3526 6.5510
angles (deg): 90.00 90.00 90.00
Space group I-4 (No. 82)
Inequivalent atoms, fractional coordinates:
Mn1 0.0000 0.0000 0.0000 (multiplicity 2)
Cd1 0.1006 0.2976 0.4994 (multiplicity 8)
Te1 0.0000 0.5000 0.7500 (multiplicity 2)
Te2 0.0958 0.8068 0.2392 (multiplicity 8)

Main lines, in order of falling intensity (10 to 80 degrees two-theta):
2θ/deg	Rel. int.	h k l
23.53	100	2 1 1
38.90	78	4 2 0
45.96	48	5 0 1
70.44	25	7 1 2
61.75	19	6 3 1
75.42	14	4 7 1
56.18	13	2 6 0
27.24	1	3 1 0

Record 3
BaHoGe2Au2: computed powder XRD pattern (λ = 1.5418 Å (Cu Kα)), based on the PBE geometry in Alexandria.
No peak broadening, texture or thermal motion is included.

Structure:
a b c (Å): 4.5611 4.5611 8.2241
angles (deg): 90.00 90.00 120.00
Space group P-3m1 (No. 164)
Inequivalent atoms, fractional coordinates:
Ba1 0.0000 0.0000 0.0000 (multiplicity 1)
Ho1 0.0000 0.0000 0.5000 (multiplicity 1)
Ge1 0.3333 0.6667 0.7120 (multiplicity 2)
Au1 0.3333 0.6667 0.3119 (multiplicity 2)

Main lines, in order of falling intensity (10 to 80 degrees two-theta):
2θ/deg	Rel. int.	h k l
31.40	100	1 0 2
39.51	67	1 1 0
10.76	32	0 0 1
51.32	25	0 2 2
25.01	24	0 1 1
66.64	23	2 1 2
52.17	16	1 1 3
40.03	13	0 1 3

Record 4
Ca3AlTe2F6: computed powder XRD pattern (λ = 1.5418 Å (Cu Kα)), based on the PBE geometry in Alexandria.
No peak broadening, texture or thermal motion is included.

Structure:
a b c (Å): 6.4788 14.2722 5.3088
angles (deg): 90.00 90.00 90.00
Space group Cmmm (No. 65)
Inequivalent atoms, fractional coordinates:
Ca1 0.0000 0.0000 0.0000 (multiplicity 2)
Ca2 0.2500 0.2500 0.5000 (multiplicity 4)
Al1 0.0000 0.5000 0.5000 (multiplicity 2)
Te1 0.0000 0.2197 0.0000 (multiplicity 4)
F1 0.0000 0.3644 0.5000 (multiplicity 4)
F2 0.2094 0.5000 0.2678 (multiplicity 8)

Main lines, in order of falling intensity (10 to 80 degrees two-theta):
2θ/deg	Rel. int.	h k l
24.96	100	0 4 0
12.40	96	0 2 0
34.79	95	2 2 1
22.53	79	1 1 1
41.31	77	2 4 1
32.38	70	2 0 1
38.41	58	1 5 1
36.10	56	0 2 2

Record 5
Hf3HgC: computed powder XRD pattern (λ = 1.5418 Å (Cu Kα)), based on the PBE geometry in Alexandria.
No peak broadening, texture or thermal motion is included.

Structure:
a b c (Å): 3.2789 3.2789 30.0361
angles (deg): 90.00 90.00 120.00
Space group R3m (No. 160, hexagonal axes)
Inequivalent atoms, fractional coordinates:
Hf1 0.0000 0.0000 0.0000 (multiplicity 3)
Hf2 0.0000 0.0000 0.1689 (multiplicity 3)
Hf3 0.0000 0.0000 0.4167 (multiplicity 3)
Hg1 0.0000 0.0000 0.5849 (multiplicity 3)
C1 0.0000 0.0000 0.7961 (multiplicity 3)

Main lines, in order of falling intensity (10 to 80 degrees two-theta):
2θ/deg	Rel. int.	h k l
34.95	100	0 1 5
38.00	69	1 0 7
35.88	40	0 0 12
68.41	37	1 1 12
56.10	35	1 1 0
32.08	30	0 1 2
67.84	27	2 0 5
61.85	20	0 1 17

Record 6
La3NdRh: computed powder XRD pattern (λ = 1.5418 Å (Cu Kα)), based on the PBE geometry in Alexandria.
No peak broadening, texture or thermal motion is included.

Structure:
a b c (Å): 7.9437 6.7822 6.4819
angles (deg): 90.00 90.00 90.00
Space group Pmn2_1 (No. 31)
Inequivalent atoms, fractional coordinates:
La1 0.0000 0.1485 0.0000 (multiplicity 2)
La2 0.2488 0.6795 0.0031 (multiplicity 4)
Nd1 0.0000 0.8452 0.5102 (multiplicity 2)
Rh1 0.0000 0.4956 0.2513 (multiplicity 2)

Main lines, in order of falling intensity (10 to 80 degrees two-theta):
2θ/deg	Rel. int.	h k l
29.48	100	2 1 1
29.73	49	0 2 1
38.22	33	2 1 2
27.52	26	0 0 2
46.20	26	2 3 0
49.89	23	2 1 3
55.46	17	4 2 1
45.68	16	4 0 0

Record 7
CeAl12Pd6: computed powder XRD pattern (λ = 1.5418 Å (Cu Kα)), based on the PBE geometry in Alexandria.
No peak broadening, texture or thermal motion is included.

Structure:
a b c (Å): 11.3899 11.3899 8.7312
angles (deg): 90.00 90.00 120.00
Space group R-3m (No. 166, hexagonal axes)
Inequivalent atoms, fractional coordinates:
Ce1 0.0000 0.0000 0.0000 (multiplicity 3)
Al1 0.0000 0.3852 0.5000 (multiplicity 18)
Al2 0.0838 0.1676 0.3174 (multiplicity 18)
Pd1 0.0476 0.5238 0.2445 (multiplicity 18)

Main lines, in order of falling intensity (10 to 80 degrees two-theta):
2θ/deg	Rel. int.	h k l
25.99	100	2 1 1
31.42	75	2 2 0
45.44	66	0 2 4
27.28	51	2 0 2
31.56	45	1 2 2
45.13	44	2 3 2
41.21	41	3 2 1
22.27	40	0 1 2

Record 8
PmPaTi: computed powder XRD pattern (λ = 1.5418 Å (Cu Kα)), based on the PBE geometry in Alexandria.
No peak broadening, texture or thermal motion is included.

Structure:
a b c (Å): 3.4236 3.4236 26.6352
angles (deg): 90.00 90.00 90.00
Space group I4/mmm (No. 139)
Inequivalent atoms, fractional coordinates:
Pm1 0.0000 0.0000 0.0696 (multiplicity 4)
Pa1 0.0000 0.0000 0.3438 (multiplicity 4)
Ti1 0.0000 0.0000 0.2194 (multiplicity 4)

Main lines, in order of falling intensity (10 to 80 degrees two-theta):
2θ/deg	Rel. int.	h k l
35.26	100	1 0 7
27.93	68	1 0 3
37.14	53	1 1 0
13.30	39	0 0 4
65.74	33	2 1 7
53.53	19	2 0 0
61.45	16	2 1 3
50.98	15	1 1 10